For Er6MnGe2S14, a GGA-PBE-relaxed structure gives the simulated powder XRD pattern in this record (λ = 1.5418 Å (Cu Kα)).
Neutral-atom scattering factors, no anomalous dispersion.

Principal peaks in the range 10 to 90 degrees two-theta, by angle:
2θ (°)	I/Imax	hkl
18.20	17	1 0 1
21.52	23	2 0 0
26.15	100	2 0 1
29.59	15	0 0 2
35.86	14	0 3 1
36.88	27	0 2 2
37.74	39	2 2 0
41.62	13	2 1 2
46.48	22	0 4 1
48.67	20	4 -2 2
50.45	28	2 0 3
61.35	18	6 -2 1

Cell and atoms:
```
data_Er6MnGe2S14
_chemical_formula_sum 'Er6 Mn1 Ge2 S14'
_symmetry_space_group_name_H-M 'P 3'
_symmetry_Int_Tables_number 143
_cell_length_a 9.5345
_cell_length_b 9.5345
_cell_length_c 6.0383
_cell_angle_alpha 90.00
_cell_angle_beta 90.00
_cell_angle_gamma 120.00
loop_
_symmetry_equiv_pos_as_xyz
'x,y,z'
'-y,x-y,z'
'-x+y,-x,z'
loop_
_atom_site_label
_atom_site_type_symbol
_atom_site_fract_x
_atom_site_fract_y
_atom_site_fract_z
Er1 Er 0.0233 0.4851 0.0000
Er2 Er 0.3066 0.1815 0.4908
Mn1 Mn 0.6667 0.3333 0.6506
Ge1 Ge 0.0000 0.0000 0.0609
Ge2 Ge 0.3333 0.6667 0.5751
S1 S 0.0000 0.0000 0.6920
S2 S 0.1007 0.2439 0.2187
S3 S 0.1930 0.7692 0.7344
S4 S 0.3333 0.6667 0.2046
S5 S 0.4327 0.2301 0.8906
S6 S 0.5274 0.0898 0.4270
```